Starting from a PBE-relaxed structure, the powder diffraction line list of Pm2NdTmTl4 was simulated for copper Kα.
Peak positions follow from Bragg's law for the DFT cell and can differ from measured ones.

Structural model:
```
Pm2NdTmTl4
1.0
2.7252 1.5734 8.9403
-2.7252 1.5734 8.9403
0.0000 -3.1468 8.9403
Pm Nd Tm Tl
2 1 1 4
direct
0.2489 0.2489 0.2489
0.7511 0.7511 0.7511
0.0000 0.0000 0.0000
0.5000 0.5000 0.5000
0.1264 0.1264 0.1264
0.3766 0.3766 0.3766
0.6234 0.6234 0.6234
0.8736 0.8736 0.8736
```

Largest 12 diffraction maxima, low angle first, 2θ = 5–70°:
2θ 9.9, 8.940 Å, rel. 1
2θ 23.0, 3.860 Å, rel. 4
2θ 32.8, 2.733 Å, rel. 100
2θ 32.9, 2.725 Å, rel. 100
2θ 40.5, 2.226 Å, rel. 1
2θ 47.1, 1.930 Å, rel. 37
2θ 53.0, 1.728 Å, rel. 1
2θ 53.1, 1.724 Å, rel. 1
2θ 58.4, 1.580 Å, rel. 19
2θ 58.6, 1.574 Å, rel. 58
2θ 68.7, 1.367 Å, rel. 12
2θ 68.9, 1.363 Å, rel. 12